Calculated powder diffraction line list
Compound: V2ZnO6
Radiation: CuKα
Structure: a GGA+U-relaxed structure
Lines closer than 0.1° are merged.

Peak list (6 most intense, 2θ = 10–80°, low angle first)
Position (°2θ)  I/Imax
20.17  34
26.99  67
27.56  100
28.50  75
31.85  85
38.37  37

Atomic structure:
abc: 5.0643 5.0643 6.7946
angles: 107.30 107.30 41.06
Element x y z (fractional)
V 0.2022 0.2022 0.1647
V 0.7978 0.7978 0.8353
Zn 0.0000 0.0000 0.5000
O 0.0453 0.0453 0.2357
O 0.3017 0.3017 0.9291
O 0.3487 0.3487 0.3862
O 0.6513 0.6513 0.6138
O 0.6983 0.6983 0.0709
O 0.9547 0.9547 0.7643

***

Calculated powder diffraction line list
Compound: Li4CrP2O8F2
Radiation: CuKα
Structure: a GGA+U-relaxed structure
Lines closer than 0.1° are merged.

Peak list (6 most intense, 2θ = 10–80°, low angle first)
Position (°2θ)  I/Imax
10.16  54
13.68  29
17.07  37
17.61  26
24.61  100
24.72  51

Atomic structure:
abc: 6.4708 10.0172 10.0644
angles: 60.24 89.90 89.85
Element x y z (fractional)
Li 0.0000 0.0000 0.0000
Li 0.0009 0.4954 0.4717
Li 0.0028 0.9587 0.5096
Li 0.3167 0.4878 0.9887
Li 0.3350 0.1475 0.6690
Li 0.5260 0.2967 0.3260
Li 0.7085 0.4885 0.9898
Li 0.7483 0.6507 0.6682
Li 0.7573 0.1589 0.1498
Li 0.7588 0.6532 0.1584
Li 0.7696 0.1461 0.6704
Li 0.8368 0.8186 0.3290
Cr 0.2589 0.1505 0.1583
Cr 0.2615 0.6538 0.1617
Cr 0.2639 0.6509 0.6613
P 0.5158 0.5225 0.4676
P 0.5166 0.9638 0.4808
P 0.5201 0.9724 0.0262
P 0.9956 0.3268 0.2913
P 0.9956 0.3514 0.8364
P 0.9976 0.7765 0.8615
O 0.0018 0.2061 0.4608
O 0.0019 0.2997 0.7176
O 0.0019 0.9464 0.8151
O 0.0303 0.2120 0.0034
O 0.0302 0.4937 0.2639
O 0.0353 0.7529 0.7203
O 0.1855 0.3075 0.2023
O 0.1858 0.4591 0.8196
O 0.1872 0.6844 0.9702
O 0.3192 0.5958 0.3655
O 0.3229 0.0112 0.0933
O 0.3231 0.8584 0.5179
O 0.4810 0.0874 0.3054
O 0.4814 0.5664 0.5962
O 0.4843 0.7960 0.0845
O 0.5185 0.3492 0.5270
O 0.5203 0.0529 0.5668
O 0.5222 0.0672 0.8534
O 0.7141 0.6037 0.3820
O 0.7152 0.8752 0.4914
O 0.7164 0.9825 0.1061
O 0.7957 0.3238 0.2104
O 0.8029 0.4389 0.8363
O 0.8060 0.6886 0.9491
F 0.0384 0.0211 0.2911
F 0.0394 0.6496 0.5330
F 0.0394 0.7856 0.1575
F 0.4695 0.2941 0.0327
F 0.4718 0.5125 0.1613
F 0.4739 0.6426 0.8007

***

Calculated powder diffraction line list
Compound: Y4Fe13Si2Sb2O28
Radiation: CuKα
Structure: a GGA+U-relaxed structure
Lines closer than 0.1° are merged.

Peak list (6 most intense, 2θ = 10–80°, low angle first)
Position (°2θ)  I/Imax
28.86  100
30.47  49
32.83  78
34.25  35
34.68  40
55.06  42

Atomic structure:
abc: 12.3592 12.3592 9.4227
angles: 92.28 92.28 153.21
Element x y z (fractional)
Y 0.0131 0.4253 0.1564
Y 0.4253 0.0131 0.1564
Y 0.5747 0.9869 0.8436
Y 0.9869 0.5747 0.8436
Fe 0.0725 0.9275 0.5000
Fe 0.1559 0.4179 0.8542
Fe 0.1631 0.2868 0.1717
Fe 0.2102 0.7898 0.5000
Fe 0.2868 0.1631 0.1717
Fe 0.4179 0.1559 0.8542
Fe 0.5000 0.5000 0.5000
Fe 0.5821 0.8441 0.1458
Fe 0.7133 0.8369 0.8283
Fe 0.7898 0.2102 0.5000
Fe 0.8369 0.7133 0.8283
Fe 0.8441 0.5821 0.1458
Fe 0.9275 0.0725 0.5000
Si 0.2511 0.2511 0.7939
Si 0.7489 0.7489 0.2061
Sb 0.3620 0.6380 0.5000
Sb 0.6380 0.3620 0.5000
O 0.0469 0.6273 0.1120
O 0.0783 0.1882 0.8610
O 0.0971 0.3754 0.6204
O 0.0983 0.5087 0.3962
O 0.1843 0.1843 0.6178
O 0.1882 0.0783 0.8610
O 0.2202 0.4804 0.0958
O 0.2316 0.3819 0.3913
O 0.3727 0.9531 0.8880
O 0.3754 0.0971 0.6204
O 0.3819 0.2316 0.3913
O 0.4591 0.4591 0.1589
O 0.4804 0.2202 0.0958
O 0.4913 0.9017 0.6038
O 0.5087 0.0983 0.3962
O 0.5196 0.7798 0.9042
O 0.5409 0.5409 0.8411
O 0.6181 0.7684 0.6087
O 0.6246 0.9029 0.3796
O 0.6273 0.0469 0.1120
O 0.7684 0.6181 0.6087
O 0.7798 0.5196 0.9042
O 0.8118 0.9217 0.1390
O 0.8157 0.8157 0.3822
O 0.9017 0.4913 0.6038
O 0.9029 0.6246 0.3796
O 0.9217 0.8118 0.1390
O 0.9531 0.3727 0.8880